Record 1
Structure and calculated XRD peak list of Rb2TbTlS4 (a cell relaxed with PBE; λ = 1.5418 Å (Cu Kα)).

Cell and atoms:
```
16
Lattice="5.936 -6.174 0.000 5.936 6.174 0.000 -5.836 0.000 6.112" Properties=species:S:1:pos:R:3 pbc="T T T"
Rb 0.000 0.000 0.000
Rb -2.918 0.000 3.056
Rb 2.968 3.087 0.000
Rb 0.050 -3.087 3.056
Tb 5.936 0.000 0.000
Tb 3.018 0.000 3.056
Tl 0.050 3.087 3.056
Tl 2.968 -3.087 0.000
S 2.728 2.864 3.204
S 0.261 0.127 3.316
S 0.390 2.864 5.963
S 3.179 -0.127 0.260
S 2.858 0.127 5.851
S 5.646 -2.864 0.148
S 5.776 -0.127 2.795
S 3.308 -2.864 2.907
```

Principal peaks in the range 5° ≤ 2θ ≤ 70°, by intensity:
| two_theta | I/Imax |
| --- | --- |
| 25.27 | 1000 |
| 25.55 | 966 |
| 28.93 | 955 |
| 29.22 | 919 |
| 30.11 | 832 |
| 41.59 | 673 |

=====

Record 2
Structure and calculated XRD peak list of MgCu2I4 (a cell relaxed with PBE; λ = 1.5418 Å (Cu Kα)).

Cell and atoms:
```
7
Lattice="6.175 0.000 0.000 0.000 6.175 0.000 0.000 0.000 6.155" Properties=species:S:1:pos:R:3 pbc="T T T"
Mg 0.000 0.000 0.000
Cu 0.000 3.088 3.078
Cu 3.088 0.000 3.078
I 1.602 1.602 1.589
I 1.602 4.573 4.567
I 4.573 1.602 4.567
I 4.573 4.573 1.589
```

Principal peaks in the range 5° ≤ 2θ ≤ 70°, by intensity:
| two_theta | I/Imax |
| --- | --- |
| 25.00 | 1000 |
| 41.40 | 607 |
| 48.93 | 306 |
| 28.95 | 206 |
| 49.06 | 153 |
| 66.05 | 120 |

=====

Record 3
Structure and calculated XRD peak list of K2Ac2GeO6 (a cell relaxed with PBE; λ = 1.5418 Å (Cu Kα)).

Cell and atoms:
```
11
Lattice="3.137 -5.299 0.000 3.137 5.299 0.000 -1.418 0.000 6.473" Properties=species:S:1:pos:R:3 pbc="T T T"
K 3.137 3.752 0.000
K 3.137 -3.752 0.000
Ac 2.428 1.736 3.237
Ac 2.428 -1.736 3.237
Ge -0.709 0.000 3.237
O 0.168 1.509 4.308
O 0.874 0.000 2.106
O 0.168 -1.509 4.308
O 4.689 1.509 2.165
O 3.983 0.000 4.367
O 4.689 -1.509 2.165
```

Principal peaks in the range 5° ≤ 2θ ≤ 70°, by intensity:
| two_theta | I/Imax |
| --- | --- |
| 13.68 | 1000 |
| 33.71 | 465 |
| 29.16 | 458 |
| 30.96 | 318 |
| 27.56 | 250 |
| 35.78 | 191 |